PmHoGaSn: theoretical powder X-ray diffraction pattern (Cu Ka), based on the GGA-PBE geometry in Alexandria.
No peak broadening, texture or thermal motion is included.

Crystal structure
Cell lengths 4.194, 6.077, 6.077 Å; angles 43.61, 90.00, 90.00 degrees
Element x y z (fractional)
1 Pm 0.000 0.000 0.000
2 Ho 0.500 0.278 0.278
3 Ga 0.500 0.551 0.551
4 Sn 0.000 0.717 0.717

Principal peaks in the range 2θ = 15–90°, in order of rising 2θ:
2θ/deg  I (rel.)
30.14  100.0
30.94  31.9
31.71  28.0
37.80  58.0
38.45  18.1
39.94  26.3
43.14  22.0
51.87  14.1
60.23  15.8
71.10  17.9


Li8ScAg6: theoretical powder X-ray diffraction pattern (Cu Ka), based on the GGA-PBE geometry in Alexandria.
No peak broadening, texture or thermal motion is included.

Crystal structure
Cell lengths 7.078, 7.078, 7.078 Å; angles 67.25, 67.25, 67.25 degrees
Element x y z (fractional)
1 Li 0.057 0.693 0.376
2 Li 0.214 0.214 0.214
3 Li 0.307 0.624 0.943
4 Li 0.376 0.057 0.693
5 Li 0.624 0.943 0.307
6 Li 0.693 0.376 0.057
7 Li 0.786 0.786 0.786
8 Li 0.943 0.307 0.624
9 Sc 0.500 0.500 0.500
10 Ag 0.126 0.426 0.818
11 Ag 0.182 0.874 0.574
12 Ag 0.426 0.818 0.126
13 Ag 0.574 0.182 0.874
14 Ag 0.818 0.126 0.426
15 Ag 0.874 0.574 0.182

Principal peaks in the range 2θ = 15–90°, in order of rising 2θ:
2θ/deg  I (rel.)
16.29  81.8
22.69  37.9
28.06  100.0
39.84  50.7
40.35  72.1
43.30  32.6
49.43  15.7
55.85  14.2
58.00  18.7
72.67  15.6


BaHoGaS4: theoretical powder X-ray diffraction pattern (Cu Ka), based on the GGA-PBE geometry in Alexandria.
No peak broadening, texture or thermal motion is included.

Crystal structure
Cell lengths 6.542, 6.738, 8.451 Å; angles 90.00, 107.52, 90.00 degrees
Element x y z (fractional)
1 Ba 0.247 0.250 0.439
2 Ba 0.753 0.750 0.561
3 Ho 0.280 0.250 0.948
4 Ho 0.720 0.750 0.052
5 Ga 0.266 0.750 0.172
6 Ga 0.734 0.250 0.828
7 S 0.043 0.750 0.913
8 S 0.067 0.750 0.350
9 S 0.493 0.506 0.785
10 S 0.493 0.994 0.785
11 S 0.507 0.006 0.215
12 S 0.507 0.494 0.215
13 S 0.933 0.250 0.650
14 S 0.957 0.250 0.087

Principal peaks in the range 2θ = 15–90°, in order of rising 2θ:
2θ/deg  I (rel.)
19.39  100.0
25.76  47.4
26.03  42.9
26.45  85.9
30.50  38.3
32.69  85.3
33.34  82.9
34.71  39.1
39.37  63.9
42.81  46.9


Cd4Ru3: theoretical powder X-ray diffraction pattern (Cu Ka), based on the GGA-PBE geometry in Alexandria.
No peak broadening, texture or thermal motion is included.

Crystal structure
Cell lengths 14.954, 14.954, 14.954 Å; angles 168.86, 168.86, 15.78 degrees
Element x y z (fractional)
1 Cd 0.069 0.069 0.000
2 Cd 0.347 0.347 0.000
3 Cd 0.653 0.653 0.000
4 Cd 0.931 0.931 0.000
5 Ru 0.224 0.224 0.000
6 Ru 0.500 0.500 0.000
7 Ru 0.776 0.776 0.000

Principal peaks in the range 2θ = 15–90°, in order of rising 2θ:
2θ/deg  I (rel.)
37.57  100.0
42.73  12.0
44.12  35.2
45.96  4.9
63.10  14.4
64.16  11.1
68.28  4.8
74.84  4.8
76.79  23.2
80.19  7.2


LuHPt: theoretical powder X-ray diffraction pattern (Cu Ka), based on the GGA-PBE geometry in Alexandria.
No peak broadening, texture or thermal motion is included.

Crystal structure
Cell lengths 4.465, 4.465, 5.666 Å; angles 105.71, 105.71, 66.09 degrees
Element x y z (fractional)
1 Lu 0.125 0.125 0.298
2 Lu 0.875 0.875 0.702
3 H 0.385 0.385 0.641
4 H 0.615 0.615 0.359
5 Pt 0.264 0.264 0.857
6 Pt 0.736 0.736 0.143

Principal peaks in the range 2θ = 15–90°, in order of rising 2θ:
2θ/deg  I (rel.)
22.15  32.3
25.15  51.2
34.57  45.8
36.75  100.0
36.92  53.5
40.89  64.6
45.20  18.6
50.62  23.9
51.47  29.9
66.41  18.2


PrAs2Rh4: theoretical powder X-ray diffraction pattern (Cu Ka), based on the GGA-PBE geometry in Alexandria.
No peak broadening, texture or thermal motion is included.

Crystal structure
Cell lengths 7.813, 7.813, 3.898 Å; angles 90.00, 90.00, 90.00 degrees
Element x y z (fractional)
1 Pr 0.000 0.000 0.000
2 Pr 0.500 0.500 0.500
3 As 0.227 0.227 0.500
4 As 0.273 0.727 0.000
5 As 0.727 0.273 0.000
6 As 0.773 0.773 0.500
7 Rh 0.078 0.665 0.500
8 Rh 0.165 0.422 0.000
9 Rh 0.335 0.922 0.500
10 Rh 0.422 0.165 0.000
11 Rh 0.578 0.835 0.000
12 Rh 0.665 0.078 0.500
13 Rh 0.835 0.578 0.000
14 Rh 0.922 0.335 0.500

Principal peaks in the range 2θ = 15–90°, in order of rising 2θ:
2θ/deg  I (rel.)
34.47  100.0
36.36  42.0
40.01  35.2
43.36  56.1
46.60  28.1
48.01  22.8
60.50  21.3
64.22  31.9
69.13  20.9
77.23  9.8